Starting from a crystal structure in Alexandria, relaxed with PBE, the X-ray diffraction stick pattern of Tm5AgPd2 was computed for Cu Kα.
Intensities are scaled so that the largest is 100.

Crystal structure
```
Tm5AgPd2
1.0
-3.8430 3.8430 6.6040
3.8430 -3.8430 6.6040
3.8430 3.8430 -6.6040
Tm Ag Pd
10 2 4
Direct
0.0000 0.0000 0.0000
0.0173 0.5173 0.8194
0.1979 0.0173 0.5000
0.3021 0.8021 0.8194
0.4827 0.3021 0.5000
0.5000 0.5000 0.0000
0.5173 0.6979 0.5000
0.6979 0.1979 0.1806
0.8021 0.9827 0.5000
0.9827 0.4827 0.1806
0.2500 0.2500 0.0000
0.7500 0.7500 0.0000
0.1354 0.3646 0.5000
0.3646 0.8646 0.2292
0.6354 0.1354 0.7708
0.8646 0.6354 0.5000
```

Top 8 peaks for 2θ from 10° to 80°, by angle:
Position (°2θ), intensity
26.8, 13
31.7, 19
33.1, 100
35.9, 27
37.0, 55
53.3, 20
58.1, 14
69.2, 20